[1]
For Ho6Zn3Tc, a cell relaxed with PBE gives the theoretical powder X-ray diffraction pattern in this record (Cu Kα X-rays).

Atomic structure:
Cell lengths 8.769, 5.106, 11.149 Å; angles 90.00, 109.13, 90.00 degrees
Sites, in units of the cell vectors:
Ho (0.024, 0.250, 0.407)
Ho (0.167, 0.750, 0.169)
Ho (0.265, 0.250, 0.002)
Ho (0.349, 0.750, 0.831)
Ho (0.377, 0.250, 0.344)
Ho (0.386, 0.250, 0.638)
Ho (0.614, 0.750, 0.362)
Ho (0.623, 0.750, 0.656)
Ho (0.651, 0.250, 0.169)
Ho (0.735, 0.750, 0.998)
Ho (0.833, 0.250, 0.831)
Ho (0.976, 0.750, 0.593)
Zn (0.018, 0.750, 0.870)
Zn (0.098, 0.250, 0.717)
Zn (0.269, 0.750, 0.468)
Zn (0.731, 0.250, 0.532)
Zn (0.902, 0.750, 0.283)
Zn (0.982, 0.250, 0.130)
Tc (0.460, 0.750, 0.102)
Tc (0.540, 0.250, 0.898)

The 6 most intense peaks (2θ = 10–90°), in order of rising 2θ:
2θ (°)	I/Imax
32.6	12
33.8	17
35.2	36
35.5	100
49.6	11
63.3	10

***

[2]
For HoZrTc, a cell relaxed with PBE gives the theoretical powder X-ray diffraction pattern in this record (Cu Kα X-rays).

Atomic structure:
Cell lengths 3.389, 3.389, 11.658 Å; angles 90.00, 90.00, 90.00 degrees
Sites, in units of the cell vectors:
Ho (0.000, 0.000, 0.000)
Ho (0.500, 0.500, 0.500)
Zr (0.000, 0.000, 0.274)
Zr (0.500, 0.500, 0.774)
Tc (0.000, 0.000, 0.655)
Tc (0.500, 0.500, 0.155)

The 6 most intense peaks (2θ = 10–90°), in order of rising 2θ:
2θ (°)	I/Imax
27.4	16
35.1	100
37.5	52
47.3	15
54.1	18
66.2	31

***

[3]
For Ho7Te3, a cell relaxed with PBE gives the theoretical powder X-ray diffraction pattern in this record (Cu Kα X-rays).

Atomic structure:
Cell lengths 9.721, 9.721, 7.125 Å; angles 90.00, 90.00, 120.00 degrees
Sites, in units of the cell vectors:
Ho (0.075, 0.537, 0.000)
Ho (0.122, 0.244, 0.283)
Ho (0.122, 0.878, 0.283)
Ho (0.244, 0.122, 0.783)
Ho (0.333, 0.667, 0.355)
Ho (0.463, 0.537, 0.000)
Ho (0.463, 0.925, 0.000)
Ho (0.537, 0.075, 0.500)
Ho (0.537, 0.463, 0.500)
Ho (0.667, 0.333, 0.855)
Ho (0.756, 0.878, 0.283)
Ho (0.878, 0.122, 0.783)
Ho (0.878, 0.756, 0.783)
Ho (0.925, 0.463, 0.500)
Te (0.202, 0.405, 0.670)
Te (0.202, 0.798, 0.670)
Te (0.405, 0.202, 0.170)
Te (0.595, 0.798, 0.670)
Te (0.798, 0.202, 0.170)
Te (0.798, 0.595, 0.170)

The 6 most intense peaks (2θ = 10–90°), in order of rising 2θ:
2θ (°)	I/Imax
27.2	34
30.8	100
32.9	65
34.3	85
37.0	28
61.9	30

***

[4]
For HoTe2, a cell relaxed with PBE gives the theoretical powder X-ray diffraction pattern in this record (Cu Kα X-rays).

Atomic structure:
Cell lengths 7.644, 8.138, 6.020 Å; angles 90.00, 90.00, 90.00 degrees
Sites, in units of the cell vectors:
Ho (0.246, 0.061, 0.250)
Ho (0.246, 0.439, 0.750)
Ho (0.754, 0.561, 0.250)
Ho (0.754, 0.939, 0.750)
Te (0.074, 0.750, 0.000)
Te (0.074, 0.750, 0.500)
Te (0.392, 0.094, 0.750)
Te (0.392, 0.406, 0.250)
Te (0.608, 0.594, 0.750)
Te (0.608, 0.906, 0.250)
Te (0.926, 0.250, 0.000)
Te (0.926, 0.250, 0.500)

The 6 most intense peaks (2θ = 10–90°), in order of rising 2θ:
2θ (°)	I/Imax
25.8	74
32.0	65
33.8	69
35.1	96
37.2	86
40.0	100